Simulated X-ray powder pattern
Compound: HfNbSi2Pd
Radiation: copper Kα
Structure: a structure optimized by DFT (GGA-PBE)
Intensities are scaled so that the largest is 100.

Peak list (6 most intense, 5 to 70 degrees two-theta, most intense first)
| 2theta | intensity | hkl |
| --- | --- | --- |
| 36.52 | 100 | 1 1 2 |
| 39.63 | 70 | 3 1 -3 |
| 35.95 | 54 | 3 1 -2 |
| 35.56 | 51 | 3 1 -1 |
| 46.37 | 47 | 0 2 0 |
| 24.92 | 47 | 1 1 0 |

Cell and atoms:
```
data_HfNbSi2Pd
_chemical_formula_sum 'Hf4 Nb4 Si8 Pd4'
_cell_length_a 10.0273
_cell_length_b 3.9165
_cell_length_c 9.4237
_cell_angle_alpha 90.00
_cell_angle_beta 119.46
_cell_angle_gamma 90.00
_symmetry_space_group_name_H-M 'C 1 2/m 1'
_symmetry_Int_Tables_number 12
loop_
_symmetry_equiv_pos_as_xyz
'x,y,z'
'-x,-y,-z'
'-x,y,-z'
'x,-y,z'
'x+1/2,y+1/2,z'
'-x+1/2,-y+1/2,-z'
'-x+1/2,y+1/2,-z'
'x+1/2,-y+1/2,z'
loop_
_atom_site_label
_atom_site_type_symbol
_atom_site_fract_x
_atom_site_fract_y
_atom_site_fract_z
Hf1 Hf 0.0207 0.0000 0.1902
Nb1 Nb 0.1890 0.0000 0.5994
Si1 Si 0.0365 0.5000 0.3967
Si2 Si 0.1344 0.5000 0.0710
Pd1 Pd 0.2098 0.5000 0.8572
```